Computed powder diffraction line list
Compound: Cs2SeI7
Radiation: λ = 1.5418 Å (Cu Kα)
Structure: a structure optimized by DFT (PBE)
Intensities are scaled so that the largest is 100.

Peak list (6 most intense, 2θ = 10–90°, sorted by position)
24.7 deg, rel. 100
27.3 deg, rel. 41
29.3 deg, rel. 77
40.5 deg, rel. 56
41.9 deg, rel. 28
49.3 deg, rel. 29

Crystal structure
```
Cs2SeI7
1.0
-4.3095 4.3095 6.5336
4.3095 -4.3095 6.5336
4.3095 4.3095 -6.5336
Cs Se I
2 1 7
direct
0.2500 0.7500 0.5000 Cs
0.7500 0.2500 0.5000 Cs
0.0000 0.0000 0.0000 Se
0.2180 0.2180 0.0000 I
0.2399 0.2399 0.4798 I
0.2399 0.7601 0.0000 I
0.5000 0.5000 0.0000 I
0.7601 0.2399 0.0000 I
0.7601 0.7601 0.5202 I
0.7820 0.7820 0.0000 I
```



Computed powder diffraction line list
Compound: TiCu6O8
Radiation: λ = 1.5418 Å (Cu Kα)
Structure: a structure optimized by DFT (PBE)
Intensities are scaled so that the largest is 100.

Peak list (6 most intense, 2θ = 10–90°, sorted by position)
36.8 deg, rel. 100
40.4 deg, rel. 33
58.5 deg, rel. 22
61.1 deg, rel. 23
63.7 deg, rel. 17
80.5 deg, rel. 17

Crystal structure
```
TiCu6O8
1.0
5.4674 0.0000 0.0000
0.0000 5.4674 0.0000
0.0000 0.0000 5.4674
Ti Cu O
1 6 8
direct
0.0000 0.0000 0.0000 Ti
0.0000 0.2516 0.5000 Cu
0.0000 0.7484 0.5000 Cu
0.2516 0.5000 0.0000 Cu
0.5000 0.0000 0.2516 Cu
0.5000 0.0000 0.7484 Cu
0.7484 0.5000 0.0000 Cu
0.2281 0.2281 0.2281 O
0.2281 0.2281 0.7719 O
0.2281 0.7719 0.2281 O
0.2281 0.7719 0.7719 O
0.7719 0.2281 0.2281 O
0.7719 0.2281 0.7719 O
0.7719 0.7719 0.2281 O
0.7719 0.7719 0.7719 O
```



Computed powder diffraction line list
Compound: LaHoPt
Radiation: λ = 1.5418 Å (Cu Kα)
Structure: a structure optimized by DFT (PBE)
Intensities are scaled so that the largest is 100.

Peak list (6 most intense, 2θ = 10–90°, sorted by position)
13.2 deg, rel. 45
22.1 deg, rel. 52
28.5 deg, rel. 47
31.2 deg, rel. 52
32.1 deg, rel. 98
35.6 deg, rel. 100

Crystal structure
```
LaHoPt
1.0
7.0839 0.0000 0.0000
0.0000 13.3944 0.0000
0.0000 0.0000 7.1939
La Ho Pt
8 8 8
direct
0.2349 0.1954 0.0991 La
0.2349 0.3046 0.5991 La
0.2651 0.6954 0.0991 La
0.2651 0.8046 0.5991 La
0.7349 0.1954 0.4009 La
0.7349 0.3046 0.9009 La
0.7651 0.6954 0.4009 La
0.7651 0.8046 0.9009 La
0.0013 0.5313 0.7534 Ho
0.0013 0.9687 0.2534 Ho
0.4987 0.0313 0.7534 Ho
0.4987 0.4687 0.2534 Ho
0.5013 0.5313 0.7466 Ho
0.5013 0.9687 0.2466 Ho
0.9987 0.0313 0.7466 Ho
0.9987 0.4687 0.2466 Ho
0.2426 0.5975 0.4586 Pt
0.2426 0.9025 0.9586 Pt
0.2574 0.0975 0.4586 Pt
0.2574 0.4025 0.9586 Pt
0.7426 0.5975 0.0414 Pt
0.7426 0.9025 0.5414 Pt
0.7574 0.0975 0.0414 Pt
0.7574 0.4025 0.5414 Pt
```